# 1
Simulated X-ray diffraction stick pattern
Compound: BaMgW4O8
Radiation: Cu Kα (weighted mean of Kα1 and Kα2)
Structure: DFT lattice parameters and positions (GGA+U)

The 6 most intense peaks (10 to 90 degrees two-theta), in order of rising 2θ:
hkl 1 0 2, 30.32°, intensity 60; hkl 1 1 0, 31.15°, intensity 100; hkl 2 -1 2, 39.90°, intensity 27; hkl 2 0 2, 44.02°, intensity 25; hkl 2 1 2, 54.91°, intensity 25; hkl 3 0 0, 55.42°, intensity 25

a b c (Å): 5.7430 5.7430 7.3210
angles (deg): 90.00 90.00 120.00
Element x y z (fractional)
Ba 0.0000 0.0000 0.0000
Mg 0.0000 0.0000 0.5000
W 0.3333 0.6667 0.2831
W 0.3333 0.6667 0.7169
W 0.6667 0.3333 0.2831
W 0.6667 0.3333 0.7169
O 0.0000 0.2900 0.3161
O 0.0000 0.7100 0.6839
O 0.2900 0.0000 0.3161
O 0.2900 0.2900 0.6839
O 0.3333 0.6667 0.0000
O 0.6667 0.3333 0.0000
O 0.7100 0.0000 0.6839
O 0.7100 0.7100 0.3161



# 2
Simulated X-ray diffraction stick pattern
Compound: Li2MnVP3O12
Radiation: Cu Kα (weighted mean of Kα1 and Kα2)
Structure: DFT lattice parameters and positions (GGA+U)

The 6 most intense peaks (10 to 90 degrees two-theta), in order of rising 2θ:
hkl 0 1 0, 14.15°, intensity 52; hkl 1 0 -1, 14.66°, intensity 100; hkl 1 1 -1, 19.78°, intensity 47; hkl 1 -1 0, 23.65°, intensity 49; hkl -1 1 2, 24.56°, intensity 69; hkl 2 0 -2, 29.56°, intensity 68

a b c (Å): 8.2800 8.3159 8.9059
angles (deg): 63.25 89.81 61.19
Element x y z (fractional)
Li 0.0000 0.0000 0.0000
Li 0.0358 0.5518 0.2703
Li 0.4682 0.8712 0.2819
Li 0.7901 0.1209 0.2774
Mn 0.5736 0.2249 0.7121
Mn 0.8824 0.6432 0.5848
V 0.0755 0.2434 0.1854
V 0.3877 0.6237 0.0968
P 0.1834 0.7327 0.3924
P 0.2727 0.1402 0.8940
P 0.4649 0.1562 0.3965
P 0.6907 0.4361 0.8897
P 0.7603 0.4313 0.3990
P 0.9886 0.7192 0.8988
O 0.1165 0.3237 0.7298
O 0.1865 0.6892 0.2363
O 0.2049 0.9285 0.3309
O 0.2069 0.6362 0.9612
O 0.2449 0.1941 0.0493
O 0.2453 0.2536 0.3310
O 0.2560 0.9404 0.9670
O 0.3331 0.5432 0.5572
O 0.4780 0.0740 0.8875
O 0.5060 0.1300 0.5749
O 0.5177 0.3136 0.2590
O 0.5591 0.6149 0.2596
O 0.5618 0.5830 0.9572
O 0.5867 0.9457 0.3998
O 0.6023 0.3221 0.8666
O 0.7258 0.5663 0.7234
O 0.7400 0.2947 0.5710
O 0.8520 0.5508 0.4121
O 0.8681 0.9309 0.8916
O 0.8854 0.2457 0.0425
O 0.8881 0.2869 0.3250
O 0.9539 0.5529 0.0458
O 0.9538 0.7349 0.7239
O 0.9726 0.8083 0.4057